(1)
Eu2NiGe3: computed powder XRD pattern (Cu Kα (weighted mean of Kα1 and Kα2)), based on a GGA-PBE-relaxed structure.
Intensities are scaled so that the largest is 100.

Principal peaks in the range 10 to 90 degrees two-theta, in order of rising 2θ:
index	Position (°2θ)	I (rel.)
1 0 0	24.8	12.6
0 1 2	31.7	100.0
1 0 3	38.9	12.3
0 0 4	39.6	9.1
1 1 0	43.6	40.1
1 0 4	47.3	7.4
2 0 2	54.9	20.8
1 1 4	60.4	15.5
1 1 5	68.6	7.5
1 2 2	72.6	18.0

Structural model:
Cell lengths 4.1499, 4.1499, 9.0994 Å; angles 90.00, 90.00, 120.00 degrees
Space group P3m1 (No. 156)
Symmetry-distinct sites (fractional):
Eu (0.0000, 0.0000, 0.0000) (multiplicity 1)
Eu (0.0000, 0.0000, 0.4510) (multiplicity 1)
Ni (0.3333, 0.6667, 0.2265) (multiplicity 1)
Ge (0.3333, 0.6667, 0.6732) (multiplicity 1)
Ge (0.6667, 0.3333, 0.2253) (multiplicity 1)
Ge (0.6667, 0.3333, 0.7774) (multiplicity 1)

(2)
Eu3Ge13Os4: computed powder XRD pattern (Cu Kα (weighted mean of Kα1 and Kα2)), based on a GGA-PBE-relaxed structure.
Intensities are scaled so that the largest is 100.

Principal peaks in the range 10 to 90 degrees two-theta, in order of rising 2θ:
index	Position (°2θ)	I (rel.)
2 0 0	19.3	54.0
2 2 0	27.5	23.5
2 2 2	33.8	51.1
3 2 0	35.2	100.0
3 2 1	36.6	35.8
4 0 0	39.2	64.2
4 2 0	44.1	36.0
4 2 2	48.6	55.3
4 4 0	56.7	22.1
6 2 2	67.7	37.3

Structural model:
Cell lengths 9.1815, 9.1815, 9.1815 Å; angles 90.00, 90.00, 90.00 degrees
Space group Pm-3n (No. 223)
Symmetry-distinct sites (fractional):
Eu (0.0000, 0.2500, 0.5000) (multiplicity 6)
Ge (0.0000, 0.0000, 0.0000) (multiplicity 2)
Ge (0.0000, 0.2915, 0.1454) (multiplicity 24)
Os (0.2500, 0.2500, 0.2500) (multiplicity 8)

(3)
EuThGePt: computed powder XRD pattern (Cu Kα (weighted mean of Kα1 and Kα2)), based on a GGA-PBE-relaxed structure.
Intensities are scaled so that the largest is 100.

Principal peaks in the range 10 to 90 degrees two-theta, in order of rising 2θ:
index	Position (°2θ)	I (rel.)
1 1 1	21.0	10.1
2 0 0	24.3	3.4
2 2 0	34.7	100.0
3 1 1	40.9	5.7
4 0 0	49.9	18.1
3 3 1	54.7	2.6
4 2 2	62.2	37.6
5 1 1	66.4	2.0
4 4 0	73.2	11.7
6 2 0	83.6	16.7

Structural model:
Cell lengths 7.3134, 7.3134, 7.3134 Å; angles 90.00, 90.00, 90.00 degrees
Space group F-43m (No. 216)
Symmetry-distinct sites (fractional):
Eu (0.0000, 0.0000, 0.0000) (multiplicity 4)
Th (0.0000, 0.0000, 0.5000) (multiplicity 4)
Ge (0.2500, 0.2500, 0.2500) (multiplicity 4)
Pt (0.2500, 0.2500, 0.7500) (multiplicity 4)

(4)
EuGe7Rh3: computed powder XRD pattern (Cu Kα (weighted mean of Kα1 and Kα2)), based on a GGA-PBE-relaxed structure.
Intensities are scaled so that the largest is 100.

Principal peaks in the range 10 to 90 degrees two-theta, in order of rising 2θ:
index	Position (°2θ)	I (rel.)
1 1 3	25.7	44.4
0 2 4	31.0	40.4
1 1 6	34.2	38.7
2 1 1	34.6	70.7
0 1 8	36.7	69.1
2 1 4	38.6	100.0
3 0 0	39.1	56.6
1 1 9	45.1	82.1
2 2 3	47.4	57.8
3 0 12	67.4	38.7

Structural model:
Cell lengths 7.9727, 7.9727, 20.9246 Å; angles 90.00, 90.00, 120.00 degrees
Space group R-3c (No. 167, hexagonal axes)
Symmetry-distinct sites (fractional):
Eu (0.0000, 0.0000, 0.0000) (multiplicity 6)
Ge (0.0000, 0.0000, 0.2500) (multiplicity 6)
Ge (0.0133, 0.2102, 0.1359) (multiplicity 36)
Rh (0.0000, 0.3164, 0.2500) (multiplicity 18)

Which formula does entry 1 have?
Eu2NiGe3